This entry pairs a crystal structure of AlPO4 with its calculated powder X-ray diffraction pattern. Radiation: Cu Kα X-rays. Structure: DFT lattice parameters and positions (GGA-PBE).

Principal peaks in the range 2θ from 10° to 90°, most intense first:
two_theta  I_rel  hkl
21.3  100  1 1 1
35.0  14  2 2 0
30.4  10  1 1 2
27.6  8  0 2 1
47.1  6  1 3 2
35.2  6  2 0 2
45.5  5  0 2 3
55.3  5  3 3 1

Structure:
Lattice parameters (Å, degrees): 7.2422 7.2541 7.1670 90.00 90.00 90.00
Space group C222_1 (No. 20)
Asymmetric unit:
Al (0.2050, 0.0000, 0.0000)
P (0.0000, 0.2961, 0.2500)
O (0.0629, 0.1763, 0.0848)
O (0.1606, 0.4192, 0.3143)